Diffraction record for DyVCr. The powder diffraction line list is theoretical, not measured: it uses DFT lattice parameters and positions (PBE) and Cu Kα X-rays.
Intensities are scaled so that the largest is 100.

Structure:
abc: 5.7293 7.7384 10.0982
angles: 90.00 90.00 90.00
Space group Fmmm (No. 69)
Symmetry-distinct sites (fractional):
Dy  0.0000  0.1881  0.0000 (multiplicity 8)
V  0.0000  0.0000  0.3162 (multiplicity 8)
Cr  0.2500  0.2500  0.2500 (multiplicity 8)

Principal peaks in the range 10 to 90 degrees two-theta, most intense first:
d (Å)	2θ/deg	I/Imax
2.095	43.19	100
2.291	39.33	91
2.492	36.05	67
2.717	32.96	62
2.525	35.56	47
3.869	22.99	45
2.114	42.77	38
2.865	31.22	37
1.532	60.41	33
3.071	29.08	32